# CsFeBiF6
Theoretical X-ray powder pattern, Cu Kα. Input: a cell relaxed with PBE+U.
Neutral-atom scattering factors, no anomalous dispersion.

Main lines, most intense first (2θ = 5–70°):
2θ = 22.1°, I = 100.0; 2θ = 22.2°, I = 49.5; 2θ = 41.5°, I = 41.5; 2θ = 30.1°, I = 30.9; 2θ = 13.9°, I = 27.3; 2θ = 37.4°, I = 22.8; 2θ = 29.7°, I = 15.6; 2θ = 28.0°, I = 15.1; 2θ = 41.2°, I = 13.8; 2θ = 17.1°, I = 13.7; 2θ = 52.9°, I = 13.0; 2θ = 46.2°, I = 12.8

Cell and atoms:
Cell: 5.9477 5.9477 6.3842 Å, 90.10 90.10 119.21°
Positions (direct):
1 Cs 0.0000 0.0000 0.0000
2 Fe 0.6693 0.3307 0.5000
3 Bi 0.3338 0.6662 0.5000
4 F 0.3940 0.0169 0.6879
5 F 0.3957 0.3699 0.3142
6 F 0.6183 0.0205 0.3119
7 F 0.6301 0.6043 0.6858
8 F 0.9795 0.3817 0.6881
9 F 0.9831 0.6060 0.3121